Simulated X-ray powder pattern
Compound: LiMnNi6
Radiation: Cu Kα X-rays
Structure: a DFT-relaxed cell (GGA-PBE, Alexandria)

```
data_LiMnNi6
_cell_length_a 7.040
_cell_length_b 10.051
_cell_length_c 10.055
_cell_angle_alpha 90.00
_cell_angle_beta 90.00
_cell_angle_gamma 90.00
_symmetry_space_group_name_H-M 'C m m m'
_symmetry_Int_Tables_number 65
_symmetry_space_group_name_Hall '-C 2 2'
loop_
_atom_site_label
_atom_site_type_symbol
_atom_site_fract_x
_atom_site_fract_y
_atom_site_fract_z
Li1 Li 0.000 0.000 0.249
Li2 Li 0.000 0.253 0.000
Mn1 Mn 0.000 0.250 0.500
Mn2 Mn 0.000 0.500 0.248
Ni1 Ni 0.000 0.000 0.000
Ni2 Ni 0.000 0.000 0.500
Ni3 Ni 0.000 0.250 0.249
Ni4 Ni 0.000 0.500 0.000
Ni5 Ni 0.000 0.500 0.500
Ni6 Ni 0.248 0.125 0.124
Ni7 Ni 0.249 0.125 0.374
```

Principal peaks in the range 10° ≤ 2θ ≤ 90°, most intense first:
| 2theta | d [Å] | I/Imax | index |
| --- | --- | --- | --- |
| 44.3 | 2.045 | 100 | 2 4 0 |
| 51.4 | 1.777 | 31 | 0 4 4 |
| 76.1 | 1.251 | 18 | 4 4 4 |
| 52.0 | 1.760 | 15 | 4 0 0 |
| 75.7 | 1.257 | 9 | 0 8 0 |
| 25.1 | 3.554 | 6 | 0 2 2 |
| 35.9 | 2.501 | 4 | 2 2 2 |
| 25.3 | 3.520 | 3 | 2 0 0 |

***

Simulated X-ray powder pattern
Compound: Sc4Ru
Radiation: Cu Kα X-rays
Structure: a DFT-relaxed cell (GGA-PBE, Alexandria)

```
data_Sc4Ru
_cell_length_a 6.395
_cell_length_b 6.395
_cell_length_c 5.190
_cell_angle_alpha 90.00
_cell_angle_beta 90.00
_cell_angle_gamma 90.00
_symmetry_space_group_name_H-M 'I 4/m'
_symmetry_Int_Tables_number 87
_symmetry_space_group_name_Hall '-I 4'
loop_
_atom_site_label
_atom_site_type_symbol
_atom_site_fract_x
_atom_site_fract_y
_atom_site_fract_z
Sc1 Sc 0.146 0.314 0.000
Ru1 Ru 0.000 0.000 0.500
```

Principal peaks in the range 10° ≤ 2θ ≤ 90°, most intense first:
| 2theta | d [Å] | I/Imax | index |
| --- | --- | --- | --- |
| 35.9 | 2.505 | 100 | 2 1 1 |
| 22.1 | 4.030 | 36 | 1 0 1 |
| 34.6 | 2.595 | 32 | 0 0 2 |
| 44.8 | 2.022 | 28 | 1 3 0 |
| 57.8 | 1.595 | 26 | 1 3 2 |
| 62.8 | 1.480 | 18 | 2 1 3 |
| 76.7 | 1.242 | 14 | 5 0 1 |
| 19.6 | 4.522 | 12 | 1 1 0 |

***

Simulated X-ray powder pattern
Compound: Hg3As2F12
Radiation: Cu Kα X-rays
Structure: a DFT-relaxed cell (GGA-PBE, Alexandria)

```
data_Hg3As2F12
_cell_length_a 6.032
_cell_length_b 8.726
_cell_length_c 11.727
_cell_angle_alpha 90.00
_cell_angle_beta 92.80
_cell_angle_gamma 90.00
_symmetry_space_group_name_H-M 'P 1 21/c 1'
_symmetry_Int_Tables_number 14
_symmetry_space_group_name_Hall '-P 2ybc'
loop_
_atom_site_label
_atom_site_type_symbol
_atom_site_fract_x
_atom_site_fract_y
_atom_site_fract_z
Hg1 Hg 0.000 0.000 0.000
Hg2 Hg 0.236 0.241 0.067
As1 As 0.302 0.647 0.171
F1 F 0.042 0.566 0.129
F2 F 0.173 0.683 0.715
F3 F 0.288 0.566 0.309
F4 F 0.325 0.726 0.032
F5 F 0.429 0.217 0.292
F6 F 0.431 0.028 0.622
```

Principal peaks in the range 10° ≤ 2θ ≤ 90°, most intense first:
| 2theta | d [Å] | I/Imax | index |
| --- | --- | --- | --- |
| 20.6 | 4.306 | 100 | 1 0 -2 |
| 19.7 | 4.501 | 49 | 1 1 1 |
| 36.2 | 2.479 | 45 | 2 2 0 |
| 29.9 | 2.988 | 43 | 1 2 2 |
| 24.0 | 3.711 | 41 | 1 1 2 |
| 15.1 | 5.857 | 39 | 0 0 2 |
| 32.2 | 2.776 | 39 | 0 1 4 |
| 25.0 | 3.564 | 26 | 0 1 3 |

***

Simulated X-ray powder pattern
Compound: LiNpGe2Pt4
Radiation: Cu Kα X-rays
Structure: a DFT-relaxed cell (GGA-PBE, Alexandria)

```
data_LiNpGe2Pt4
_cell_length_a 4.2825
_cell_length_b 4.2825
_cell_length_c 25.3633
_cell_angle_alpha 90.00
_cell_angle_beta 90.00
_cell_angle_gamma 120.00
_symmetry_space_group_name_H-M 'R -3 m'
_symmetry_Int_Tables_number 166
_symmetry_space_group_name_Hall '-R 3 2"'
loop_
_atom_site_label
_atom_site_type_symbol
_atom_site_fract_x
_atom_site_fract_y
_atom_site_fract_z
Li1 Li 0.0000 0.0000 0.0000
Np1 Np 0.0000 0.0000 0.5000
Ge1 Ge 0.0000 0.0000 0.2607
Pt1 Pt 0.0000 0.0000 0.1007
Pt2 Pt 0.0000 0.0000 0.3654
```

Principal peaks in the range 10° ≤ 2θ ≤ 90°, most intense first:
| 2theta | d [Å] | I/Imax | index |
| --- | --- | --- | --- |
| 42.2 | 2.141 | 100 | 1 1 0 |
| 37.3 | 2.410 | 74 | 0 1 8 |
| 34.6 | 2.592 | 50 | 1 0 7 |
| 29.8 | 2.994 | 44 | 0 1 5 |
| 71.0 | 1.327 | 25 | 1 1 15 |
| 57.6 | 1.601 | 21 | 2 0 8 |
| 27.9 | 3.201 | 21 | 1 0 4 |
| 73.9 | 1.282 | 20 | 1 2 8 |

***

Simulated X-ray powder pattern
Compound: Si23Ge3
Radiation: Cu Kα X-rays
Structure: a DFT-relaxed cell (GGA-PBE, Alexandria)

```
data_Si23Ge3
_cell_length_a 10.150
_cell_length_b 10.150
_cell_length_c 10.150
_cell_angle_alpha 90.00
_cell_angle_beta 90.00
_cell_angle_gamma 90.00
_symmetry_space_group_name_H-M 'P m -3 n'
_symmetry_Int_Tables_number 223
_symmetry_space_group_name_Hall '-P 4n 2 3'
loop_
_atom_site_label
_atom_site_type_symbol
_atom_site_fract_x
_atom_site_fract_y
_atom_site_fract_z
Si1 Si 0.000 0.116 0.310
Si2 Si 0.000 0.250 0.500
Si3 Si 0.184 0.184 0.184
Ge1 Ge 0.000 0.500 0.250
```

Principal peaks in the range 10° ≤ 2θ ≤ 90°, most intense first:
| 2theta | d [Å] | I/Imax | index |
| --- | --- | --- | --- |
| 33.0 | 2.713 | 100 | 3 2 1 |
| 30.5 | 2.930 | 79 | 2 2 2 |
| 31.8 | 2.815 | 75 | 3 2 0 |
| 52.6 | 1.741 | 67 | 5 3 0 |
| 55.8 | 1.647 | 44 | 5 3 2 |
| 35.4 | 2.538 | 21 | 4 0 0 |
| 54.2 | 1.692 | 20 | 6 0 0 |
| 27.8 | 3.210 | 18 | 3 1 0 |

***

Simulated X-ray powder pattern
Compound: Ti2Zn5Ni
Radiation: Cu Kα X-rays
Structure: a DFT-relaxed cell (GGA-PBE, Alexandria)

```
data_Ti2Zn5Ni
_cell_length_a 3.905
_cell_length_b 3.905
_cell_length_c 15.087
_cell_angle_alpha 90.00
_cell_angle_beta 90.00
_cell_angle_gamma 90.00
_symmetry_space_group_name_H-M 'I 4/m m m'
_symmetry_Int_Tables_number 139
_symmetry_space_group_name_Hall '-I 4 2'
loop_
_atom_site_label
_atom_site_type_symbol
_atom_site_fract_x
_atom_site_fract_y
_atom_site_fract_z
Ti1 Ti 0.000 0.000 0.243
Zn1 Zn 0.000 0.000 0.500
Zn2 Zn 0.000 0.500 0.116
Ni1 Ni 0.000 0.000 0.000
```

Principal peaks in the range 10° ≤ 2θ ≤ 90°, most intense first:
| 2theta | d [Å] | I/Imax | index |
| --- | --- | --- | --- |
| 40.5 | 2.228 | 100 | 1 1 4 |
| 46.5 | 1.953 | 34 | 2 0 0 |
| 82.1 | 1.174 | 22 | 3 1 4 |
| 69.3 | 1.357 | 17 | 2 0 8 |
| 48.3 | 1.886 | 13 | 0 0 8 |
| 67.9 | 1.381 | 10 | 2 2 0 |
| 11.7 | 7.543 | 9 | 0 0 2 |
| 87.6 | 1.114 | 9 | 2 2 8 |

***

Simulated X-ray powder pattern
Compound: La3DyTl3
Radiation: Cu Kα X-rays
Structure: a DFT-relaxed cell (GGA-PBE, Alexandria)

```
data_La3DyTl3
_cell_length_a 9.696
_cell_length_b 9.696
_cell_length_c 9.696
_cell_angle_alpha 90.00
_cell_angle_beta 90.00
_cell_angle_gamma 90.00
_symmetry_space_group_name_H-M 'P 21 3'
_symmetry_Int_Tables_number 198
_symmetry_space_group_name_Hall 'P 2ac 2ab 3'
loop_
_atom_site_label
_atom_site_type_symbol
_atom_site_fract_x
_atom_site_fract_y
_atom_site_fract_z
La1 La 0.068 0.432 0.568
La2 La 0.170 0.830 0.330
La3 La 0.176 0.176 0.176
Dy1 Dy 0.076 0.576 0.924
Tl1 Tl 0.004 0.258 0.866
```

Principal peaks in the range 10° ≤ 2θ ≤ 90°, most intense first:
| 2theta | d [Å] | I/Imax | index |
| --- | --- | --- | --- |
| 29.1 | 3.066 | 100 | 3 0 1 |
| 34.6 | 2.591 | 70 | 3 1 2 |
| 58.7 | 1.573 | 30 | 6 1 1 |
| 41.7 | 2.168 | 19 | 4 2 0 |
| 47.8 | 1.901 | 18 | 4 3 1 |
| 71.5 | 1.319 | 18 | 7 2 1 |
| 62.0 | 1.496 | 15 | 5 4 1 |
| 45.9 | 1.979 | 14 | 4 2 2 |

***

Simulated X-ray powder pattern
Compound: CsHgSbAu2
Radiation: Cu Kα X-rays
Structure: a DFT-relaxed cell (GGA-PBE, Alexandria)

```
data_CsHgSbAu2
_cell_length_a 5.137
_cell_length_b 5.137
_cell_length_c 12.189
_cell_angle_alpha 90.00
_cell_angle_beta 90.00
_cell_angle_gamma 90.00
_symmetry_space_group_name_H-M 'I 4 m m'
_symmetry_Int_Tables_number 107
_symmetry_space_group_name_Hall 'I 4 -2'
loop_
_atom_site_label
_atom_site_type_symbol
_atom_site_fract_x
_atom_site_fract_y
_atom_site_fract_z
Cs1 Cs 0.000 0.000 0.000
Hg1 Hg 0.000 0.000 0.363
Sb1 Sb 0.000 0.000 0.659
Au1 Au 0.000 0.500 0.237
```

Principal peaks in the range 10° ≤ 2θ ≤ 90°, most intense first:
| 2theta | d [Å] | I/Imax | index |
| --- | --- | --- | --- |
| 28.6 | 3.120 | 100 | 1 1 2 |
| 34.9 | 2.569 | 98 | 2 0 0 |
| 28.0 | 3.187 | 90 | 1 0 3 |
| 14.5 | 6.094 | 63 | 0 0 2 |
| 38.6 | 2.335 | 58 | 1 1 4 |
| 45.3 | 2.000 | 48 | 2 1 3 |
| 51.5 | 1.773 | 42 | 1 1 6 |
| 50.2 | 1.816 | 35 | 2 2 0 |

***

Simulated X-ray powder pattern
Compound: Pr8Tm3
Radiation: Cu Kα X-rays
Structure: a DFT-relaxed cell (GGA-PBE, Alexandria)

```
data_Pr8Tm3
_cell_length_a 11.555
_cell_length_b 5.147
_cell_length_c 13.219
_cell_angle_alpha 90.00
_cell_angle_beta 105.12
_cell_angle_gamma 90.00
_symmetry_space_group_name_H-M 'C 1 2/m 1'
_symmetry_Int_Tables_number 12
_symmetry_space_group_name_Hall '-C 2y'
loop_
_atom_site_label
_atom_site_type_symbol
_atom_site_fract_x
_atom_site_fract_y
_atom_site_fract_z
Pr1 Pr 0.047 0.000 0.318
Pr2 Pr 0.135 0.000 0.954
Pr3 Pr 0.180 0.500 0.772
Pr4 Pr 0.228 0.000 0.591
Tm1 Tm 0.000 0.500 0.500
Tm2 Tm 0.091 0.500 0.134
```

Principal peaks in the range 10° ≤ 2θ ≤ 90°, most intense first:
| 2theta | d [Å] | I/Imax | index |
| --- | --- | --- | --- |
| 30.0 | 2.983 | 100 | 1 1 3 |
| 34.6 | 2.589 | 34 | 4 0 1 |
| 50.0 | 1.825 | 30 | 4 2 1 |
| 34.9 | 2.573 | 17 | 0 2 0 |
| 59.1 | 1.562 | 15 | 5 1 4 |
| 59.3 | 1.559 | 14 | 7 1 -1 |
| 59.5 | 1.553 | 14 | 1 3 3 |
| 81.2 | 1.185 | 9 | 5 3 4 |

***

Simulated X-ray powder pattern
Compound: K2Rb5Tl
Radiation: Cu Kα X-rays
Structure: a DFT-relaxed cell (GGA-PBE, Alexandria)

```
data_K2Rb5Tl
_cell_length_a 8.573
_cell_length_b 8.632
_cell_length_c 8.751
_cell_angle_alpha 96.45
_cell_angle_beta 96.89
_cell_angle_gamma 112.42
_symmetry_space_group_name_H-M 'P 1'
_symmetry_Int_Tables_number 1
_symmetry_space_group_name_Hall 'P 1'
loop_
_atom_site_label
_atom_site_type_symbol
_atom_site_fract_x
_atom_site_fract_y
_atom_site_fract_z
K1 K 0.000 0.000 0.000
K2 K 0.232 0.190 0.543
Rb1 Rb 0.053 0.628 0.323
Rb2 Rb 0.420 0.566 0.989
Rb3 Rb 0.554 0.126 0.137
Rb4 Rb 0.628 0.819 0.552
Rb5 Rb 0.846 0.421 0.748
Tl1 Tl 0.251 0.843 0.757
```

Principal peaks in the range 10° ≤ 2θ ≤ 90°, most intense first:
| 2theta | d [Å] | I/Imax | index |
| --- | --- | --- | --- |
| 23.5 | 3.786 | 100 | 1 1 1 |
| 23.2 | 3.831 | 89 | 0 2 -1 |
| 23.3 | 3.813 | 84 | 2 0 -1 |
| 11.3 | 7.839 | 83 | 0 1 0 |
| 24.3 | 3.661 | 81 | 1 -1 2 |
| 24.2 | 3.681 | 72 | -1 1 2 |
| 24.9 | 3.574 | 67 | 2 -2 0 |
| 12.4 | 7.149 | 63 | 1 -1 0 |

***

Simulated X-ray powder pattern
Compound: Zn2Ga5Pd3
Radiation: Cu Kα X-rays
Structure: a DFT-relaxed cell (GGA-PBE, Alexandria)

```
data_Zn2Ga5Pd3
_cell_length_a 9.261
_cell_length_b 12.802
_cell_length_c 5.541
_cell_angle_alpha 90.00
_cell_angle_beta 100.01
_cell_angle_gamma 90.00
_symmetry_space_group_name_H-M 'C 1 2/c 1'
_symmetry_Int_Tables_number 15
_symmetry_space_group_name_Hall '-C 2yc'
loop_
_atom_site_label
_atom_site_type_symbol
_atom_site_fract_x
_atom_site_fract_y
_atom_site_fract_z
Zn1 Zn 0.133 0.225 0.120
Ga1 Ga 0.000 0.034 0.250
Ga2 Ga 0.113 0.344 0.556
Ga3 Ga 0.238 0.454 0.008
Pd1 Pd 0.000 0.487 0.250
Pd2 Pd 0.132 0.150 0.630
```

Principal peaks in the range 10° ≤ 2θ ≤ 90°, most intense first:
| 2theta | d [Å] | I/Imax | index |
| --- | --- | --- | --- |
| 40.9 | 2.208 | 100 | 1 5 1 |
| 38.1 | 2.364 | 73 | 2 2 -2 |
| 41.4 | 2.180 | 58 | 2 0 2 |
| 42.1 | 2.148 | 56 | 4 2 0 |
| 37.7 | 2.385 | 41 | 3 3 -1 |
| 31.9 | 2.807 | 20 | 3 1 -1 |
| 45.5 | 1.992 | 18 | 2 4 -2 |
| 49.1 | 1.857 | 17 | 4 4 0 |